Structure and simulated PXRD pattern of K4O3F4 (a structure optimized by DFT (PBE); Cu Kα (weighted mean of Kα1 and Kα2)).
Kinematic intensities with the Lorentz-polarization factor, no thermal factor.

Main lines, sorted by position (10° ≤ 2θ ≤ 90°):
2θ = 21.7°, 4.103 Å, intensity 64; 2θ = 34.3°, 2.613 Å, intensity 76; 2θ = 35.7°, 2.518 Å, intensity 100; 2θ = 35.8°, 2.508 Å, intensity 99; 2θ = 39.1°, 2.306 Å, intensity 82; 2θ = 40.9°, 2.204 Å, intensity 68

Structure:
```
K4O3F4
1.0
4.6116 0.0000 0.0000
0.0000 10.4526 0.0000
-2.2869 0.0000 4.4957
K O F
4 3 4
direct
0.0000 0.0000 0.0000
0.0039 0.5000 0.0060
0.6802 0.2494 0.3612
0.6802 0.7506 0.3612
0.2992 0.5000 0.5920
0.3732 0.3932 0.7421
0.3732 0.6068 0.7421
0.0037 0.2472 0.0067
0.0037 0.7528 0.0067
0.6731 0.0000 0.3495
0.6999 0.5000 0.3925
```